HoSiH2O4: calculated powder XRD pattern (Cu Ka), based on a structure optimized by DFT (GGA-PBE).
Intensities are scaled so that the largest is 100.

Structural model:
```
HoSiH2O4
1.0
0.0000 5.3111 3.1545
4.7400 0.0000 3.1545
4.7400 5.3111 0.0000
Ho Si H O
2 2 4 8
Direct
0.0000 0.0000 0.0000
0.2500 0.2500 0.2500
0.5232 0.5232 0.4768
0.7732 0.7732 0.7268
0.1459 0.6127 0.8122
0.4378 0.8208 0.1041
0.6127 0.1459 0.4292
0.8208 0.4378 0.6373
0.2624 0.4404 0.8187
0.4313 0.7715 0.9876
0.4404 0.2624 0.4785
0.5079 0.8480 0.2717
0.7715 0.4313 0.8096
0.8480 0.5079 0.3723
0.8777 0.9783 0.4020
0.9783 0.8777 0.7421
```

Main lines, by angle (2θ from 5° to 70°):
2theta  I_rel
18.85  75
25.18  100
30.45  20
32.80  22
33.03  43
33.75  21
34.14  39
40.86  26
44.97  18
46.09  14
48.77  37
51.19  31